Simulated XRD peak list of Tb2Nd3 for CuKα, from the PBE geometry in Alexandria.
No peak broadening, texture or thermal motion is included.

Largest 10 diffraction maxima, by intensity, 5 to 70 degrees two-theta:
Position (°2θ)	d (Å)	I/Imax
30.16	2.963	100
31.62	2.829	85
29.14	3.064	56
28.18	3.167	29
31.95	2.802	27
52.11	1.755	26
35.47	2.531	22
38.00	2.368	20
49.90	1.828	20
41.75	2.164	17

Structural model:
Cell: 9.4878 9.4878 9.4878 Å, 140.31 56.86 141.00°
Element x y z (fractional)
1 Tb 0.1936 0.1300 0.3236
2 Tb 0.3064 0.6300 0.9364
3 Tb 0.6936 0.3700 0.0636
4 Tb 0.8064 0.8700 0.6764
5 Nd 0.0982 0.6004 0.6986
6 Nd 0.2500 0.2500 0.0000
7 Nd 0.4018 0.1004 0.5022
8 Nd 0.5982 0.8996 0.4978
9 Nd 0.7500 0.7500 0.0000
10 Nd 0.9018 0.3996 0.3014


Simulated XRD peak list of Tb4Nd for CuKα, from the PBE geometry in Alexandria.
No peak broadening, texture or thermal motion is included.

Largest 10 diffraction maxima, by intensity, 5 to 70 degrees two-theta:
Position (°2θ)	d (Å)	I/Imax
31.17	2.870	100
30.53	2.928	86
32.70	2.739	46
33.06	2.710	42
47.18	1.926	31
61.56	1.507	29
34.12	2.628	19
58.25	1.584	18
57.40	1.605	18
41.02	2.200	16

Structural model:
Cell: 5.4777 16.8450 3.5402 Å, 90.00 90.00 90.00°
Element x y z (fractional)
1 Tb 0.0000 0.1099 0.0000
2 Tb 0.0000 0.3002 0.5000
3 Tb 0.0000 0.6998 0.5000
4 Tb 0.0000 0.8901 0.0000
5 Tb 0.5000 0.1998 0.5000
6 Tb 0.5000 0.3901 0.0000
7 Tb 0.5000 0.6099 0.0000
8 Tb 0.5000 0.8002 0.5000
9 Nd 0.0000 0.5000 0.5000
10 Nd 0.5000 0.0000 0.5000